InBiPS2: calculated PXRD pattern (copper Kα), based on a cell relaxed with GGA-PBE.
No peak broadening, texture or thermal motion is included.

Peak list (8 most intense, 2θ = 10–90°, in order of rising 2θ)
hkl 1 0 1, 2θ = 24.87°, rel. 100
hkl 1 1 1, 2θ = 30.58°, rel. 17
hkl 0 0 2, 2θ = 35.36°, rel. 14
hkl 2 0 0, 2θ = 35.51°, rel. 28
hkl 2 1 1, 2θ = 43.80°, rel. 46
hkl 2 0 2, 2θ = 50.98°, rel. 20
hkl 3 0 1, 2θ = 57.64°, rel. 14
hkl 3 2 1, 2θ = 69.51°, rel. 16

Structural model:
```
InBiPS2
1.0
5.0565 0.0000 0.0000
0.0000 5.0565 0.0000
0.0000 0.0000 5.0764
In Bi P S
1 1 1 2
Cartesian
0.0000 0.0000 0.0000
2.5282 2.5282 2.5382
0.0000 0.0000 2.5382
0.0000 2.5282 0.0000
2.5282 0.0000 0.0000
```